No. 1
# La7TlS5
Computed PXRD pattern, Cu Kα. Input: a crystal structure in Alexandria, relaxed with PBE.
No peak broadening, texture or thermal motion is included.

Atomic structure:
Lattice parameters (Å, degrees): 4.186 25.196 7.227 90.00 106.79 90.00
Positions (direct):
La 0.019 0.250 0.038
La 0.135 0.535 0.271
La 0.135 0.965 0.271
La 0.324 0.170 0.649
La 0.324 0.330 0.649
La 0.408 0.606 0.817
La 0.408 0.894 0.817
La 0.592 0.106 0.183
La 0.592 0.394 0.183
La 0.676 0.670 0.351
La 0.676 0.830 0.351
La 0.865 0.035 0.729
La 0.865 0.465 0.729
La 0.981 0.750 0.962
Tl 0.298 0.750 0.597
Tl 0.702 0.250 0.403
S 0.042 0.640 0.084
S 0.042 0.860 0.084
S 0.227 0.069 0.454
S 0.227 0.431 0.454
S 0.500 0.000 0.000
S 0.500 0.500 0.000
S 0.773 0.569 0.546
S 0.773 0.931 0.546
S 0.958 0.140 0.916
S 0.958 0.360 0.916

Peak list (10 most intense, 10° ≤ 2θ ≤ 80°, by intensity)
2θ (°), I (rel.)
27.94, 100
29.68, 98
30.75, 66
28.46, 48
43.11, 44
52.26, 36
26.36, 34
43.23, 32
33.48, 22
39.25, 21

---

No. 2
# La3TlS
Computed PXRD pattern, Cu Kα. Input: a crystal structure in Alexandria, relaxed with PBE.
No peak broadening, texture or thermal motion is included.

Atomic structure:
Lattice parameters (Å, degrees): 9.037 9.037 4.150 90.00 90.00 106.28
Positions (direct):
La 0.186 0.430 0.500
La 0.187 0.813 0.000
La 0.430 0.186 0.500
La 0.570 0.814 0.500
La 0.813 0.187 0.000
La 0.814 0.570 0.500
Tl 0.000 0.000 0.500
Tl 0.500 0.500 0.000
S 0.000 0.500 0.000
S 0.500 0.000 0.000

Peak list (10 most intense, 10° ≤ 2θ ≤ 80°, by intensity)
2θ (°), I (rel.)
29.58, 100
33.46, 49
29.71, 46
51.17, 44
27.06, 39
55.83, 26
25.40, 25
30.93, 24
43.62, 23
32.86, 23

---

No. 3
# LaTl2S8
Computed PXRD pattern, Cu Kα. Input: a crystal structure in Alexandria, relaxed with PBE.
No peak broadening, texture or thermal motion is included.

Atomic structure:
Lattice parameters (Å, degrees): 5.240 6.468 9.234 104.40 98.97 101.05
Positions (direct):
La 0.000 0.000 0.000
Tl 0.151 0.739 0.370
Tl 0.849 0.261 0.630
S 0.150 0.447 0.953
S 0.153 0.227 0.337
S 0.483 0.754 0.725
S 0.492 0.077 0.839
S 0.508 0.923 0.161
S 0.517 0.246 0.275
S 0.847 0.773 0.663
S 0.850 0.553 0.047

Peak list (10 most intense, 10° ≤ 2θ ≤ 80°, by intensity)
2θ (°), I (rel.)
30.67, 100
22.68, 69
29.84, 64
20.04, 62
28.17, 55
17.66, 53
32.06, 46
21.37, 36
34.99, 34
27.30, 31

---

No. 4
# La2ZrTl3S6
Computed PXRD pattern, Cu Kα. Input: a crystal structure in Alexandria, relaxed with PBE.
No peak broadening, texture or thermal motion is included.

Atomic structure:
Lattice parameters (Å, degrees): 7.081 7.081 7.914 98.70 98.70 119.98
Positions (direct):
La 0.166 0.834 0.000
La 0.834 0.166 0.000
Zr 0.500 0.500 0.000
Tl 0.000 0.000 0.500
Tl 0.329 0.671 0.500
Tl 0.671 0.329 0.500
S 0.129 0.434 0.801
S 0.267 0.267 0.208
S 0.434 0.129 0.801
S 0.566 0.871 0.199
S 0.733 0.733 0.792
S 0.871 0.566 0.199

Peak list (10 most intense, 10° ≤ 2θ ≤ 80°, by intensity)
2θ (°), I (rel.)
29.77, 100
26.37, 61
44.31, 33
23.59, 28
40.79, 26
54.29, 17
50.85, 16
40.92, 13
47.75, 10
52.30, 10

---

No. 5
# LaTmS2
Computed PXRD pattern, Cu Kα. Input: a crystal structure in Alexandria, relaxed with PBE.
No peak broadening, texture or thermal motion is included.

Atomic structure:
Lattice parameters (Å, degrees): 7.100 7.100 7.100 32.19 32.19 32.19
Positions (direct):
La 0.000 0.000 0.000
Tm 0.500 0.500 0.500
S 0.241 0.241 0.241
S 0.759 0.759 0.759

Peak list (10 most intense, 10° ≤ 2θ ≤ 80°, by intensity)
2θ (°), I (rel.)
31.67, 100
27.61, 58
44.69, 37
46.11, 35
74.16, 23
26.50, 23
53.97, 20
57.02, 19
54.58, 16
76.25, 16

---

No. 6
# La5TmS6
Computed PXRD pattern, Cu Kα. Input: a crystal structure in Alexandria, relaxed with PBE.
No peak broadening, texture or thermal motion is included.

Atomic structure:
Lattice parameters (Å, degrees): 7.115 7.115 7.111 99.68 99.68 120.06
Positions (direct):
La 0.000 0.000 0.000
La 0.166 0.834 0.500
La 0.329 0.671 0.000
La 0.671 0.329 0.000
La 0.834 0.166 0.500
Tm 0.500 0.500 0.500
S 0.102 0.421 0.261
S 0.263 0.263 0.743
S 0.421 0.102 0.261
S 0.579 0.898 0.739
S 0.737 0.737 0.257
S 0.898 0.579 0.739

Peak list (10 most intense, 10° ≤ 2θ ≤ 80°, by intensity)
2θ (°), I (rel.)
30.81, 100
26.60, 73
44.11, 60
52.23, 25
72.82, 21
54.71, 13
54.85, 12
52.34, 12
44.23, 12
70.69, 10

---

No. 7
# La10US16
Computed PXRD pattern, Cu Kα. Input: a crystal structure in Alexandria, relaxed with PBE.
No peak broadening, texture or thermal motion is included.

Atomic structure:
Lattice parameters (Å, degrees): 8.726 8.726 8.696 90.00 90.00 90.00
Positions (direct):
La 0.000 0.500 0.244
La 0.134 0.745 0.619
La 0.255 0.134 0.381
La 0.257 0.378 0.855
La 0.378 0.743 0.145
La 0.500 0.000 0.756
La 0.622 0.257 0.145
La 0.743 0.622 0.855
La 0.745 0.866 0.381
La 0.866 0.255 0.619
U 0.000 0.000 0.000
S 0.064 0.684 0.945
S 0.074 0.827 0.296
S 0.167 0.422 0.540
S 0.173 0.074 0.704
S 0.316 0.064 0.055
S 0.316 0.420 0.180
S 0.420 0.684 0.820
S 0.422 0.833 0.460
S 0.578 0.167 0.460
S 0.580 0.316 0.820
S 0.684 0.580 0.180
S 0.684 0.936 0.055
S 0.827 0.926 0.704
S 0.833 0.578 0.540
S 0.926 0.173 0.296
S 0.936 0.316 0.945

Peak list (10 most intense, 10° ≤ 2θ ≤ 80°, by intensity)
2θ (°), I (rel.)
25.03, 100
32.45, 70
38.65, 62
32.55, 32
46.56, 27
49.02, 26
66.02, 25
53.58, 21
22.82, 18
10.15, 15

---

No. 8
# La5YbS8
Computed PXRD pattern, Cu Kα. Input: a crystal structure in Alexandria, relaxed with PBE.
No peak broadening, texture or thermal motion is included.

Atomic structure:
Lattice parameters (Å, degrees): 7.540 7.540 7.540 109.54 109.54 109.33
Positions (direct):
La 0.000 0.000 0.000
La 0.251 0.631 0.124
La 0.369 0.493 0.621
La 0.507 0.128 0.876
La 0.872 0.749 0.379
Yb 0.750 0.250 0.500
S 0.118 0.228 0.750
S 0.130 0.729 0.752
S 0.271 0.023 0.401
S 0.478 0.368 0.250
S 0.622 0.870 0.599
S 0.632 0.882 0.110
S 0.772 0.522 0.890
S 0.977 0.378 0.248

Peak list (10 most intense, 10° ≤ 2θ ≤ 80°, by intensity)
2θ (°), I (rel.)
25.05, 100
32.52, 96
38.70, 59
46.63, 27
49.08, 26
66.20, 24
53.65, 18
53.72, 14
46.70, 14
66.08, 13

---

No. 9
# LaSb3
Computed PXRD pattern, Cu Kα. Input: a crystal structure in Alexandria, relaxed with PBE.
No peak broadening, texture or thermal motion is included.

Atomic structure:
Lattice parameters (Å, degrees): 6.531 6.531 4.803 94.38 94.38 39.42
Positions (direct):
La 0.000 0.000 0.000
Sb 0.266 0.266 0.206
Sb 0.500 0.500 0.500
Sb 0.734 0.734 0.794

Peak list (10 most intense, 10° ≤ 2θ ≤ 80°, by intensity)
2θ (°), I (rel.)
28.08, 100
36.31, 54
29.14, 45
45.13, 22
40.98, 19
51.07, 19
41.61, 17
39.28, 16
77.06, 13
59.82, 12

---

No. 10
# La5Sb3
Computed PXRD pattern, Cu Kα. Input: a crystal structure in Alexandria, relaxed with PBE.
No peak broadening, texture or thermal motion is included.

Atomic structure:
Lattice parameters (Å, degrees): 9.567 9.567 6.648 90.00 90.00 120.00
Positions (direct):
La 0.000 0.256 0.250
La 0.000 0.744 0.750
La 0.256 0.000 0.250
La 0.256 0.256 0.750
La 0.333 0.667 0.000
La 0.333 0.667 0.500
La 0.667 0.333 0.000
La 0.667 0.333 0.500
La 0.744 0.000 0.750
La 0.744 0.744 0.250
Sb 0.000 0.383 0.750
Sb 0.000 0.617 0.250
Sb 0.383 0.000 0.750
Sb 0.383 0.383 0.250
Sb 0.617 0.000 0.250
Sb 0.617 0.617 0.750

Peak list (10 most intense, 10° ≤ 2θ ≤ 80°, by intensity)
2θ (°), I (rel.)
31.58, 100
32.81, 98
32.42, 72
50.46, 33
28.50, 30
46.79, 27
26.82, 20
65.56, 19
49.90, 18
28.94, 16

---

No. 11
# La3Sb
Computed PXRD pattern, Cu Kα. Input: a crystal structure in Alexandria, relaxed with PBE.
No peak broadening, texture or thermal motion is included.

Atomic structure:
Lattice parameters (Å, degrees): 6.266 6.266 6.266 133.73 133.73 67.52
Positions (direct):
La 0.000 0.000 0.000
La 0.250 0.750 0.500
La 0.750 0.250 0.500
Sb 0.500 0.500 0.000

Peak list (10 most intense, 10° ≤ 2θ ≤ 80°, by intensity)
2θ (°), I (rel.)
30.89, 100
36.50, 32
62.23, 27
51.05, 24
34.43, 19
59.49, 15
64.37, 12
52.57, 11
77.55, 4
72.59, 2

---

No. 12
# La3Sb2
Computed PXRD pattern, Cu Kα. Input: a crystal structure in Alexandria, relaxed with PBE.
No peak broadening, texture or thermal motion is included.

Atomic structure:
Lattice parameters (Å, degrees): 9.316 9.316 9.316 140.13 140.13 57.65
Positions (direct):
La 0.000 0.000 0.000
La 0.000 0.000 0.500
La 0.000 0.500 0.000
La 0.375 0.625 0.750
La 0.500 0.000 0.500
La 0.625 0.375 0.250
Sb 0.176 0.426 0.750
Sb 0.426 0.176 0.250
Sb 0.574 0.824 0.750
Sb 0.824 0.574 0.250

Peak list (10 most intense, 10° ≤ 2θ ≤ 80°, by intensity)
2θ (°), I (rel.)
30.79, 100
31.97, 92
28.09, 56
30.19, 48
46.13, 45
35.65, 27
51.43, 23
52.22, 23
58.08, 21
67.18, 21

---

No. 13
# LaSc5Sb6
Computed PXRD pattern, Cu Kα. Input: a crystal structure in Alexandria, relaxed with PBE.
No peak broadening, texture or thermal motion is included.

Atomic structure:
Lattice parameters (Å, degrees): 7.359 7.359 7.367 99.70 99.70 120.10
Positions (direct):
La 0.000 0.000 0.000
Sc 0.159 0.841 0.500
Sc 0.331 0.669 0.000
Sc 0.500 0.500 0.500
Sc 0.669 0.331 0.000
Sc 0.841 0.159 0.500
Sb 0.088 0.438 0.262
Sb 0.266 0.266 0.745
Sb 0.438 0.088 0.262
Sb 0.562 0.912 0.738
Sb 0.734 0.734 0.255
Sb 0.912 0.562 0.738

Peak list (10 most intense, 10° ≤ 2θ ≤ 80°, by intensity)
2θ (°), I (rel.)
29.75, 100
42.55, 60
25.69, 21
52.76, 18
70.03, 15
77.83, 12
42.70, 12
61.85, 7
52.95, 6
78.01, 5